# Na5B6C4
Calculated powder XRD pattern, λ = 1.5418 Å (Cu Kα). Input: a cell relaxed with PBE.
Lines closer than 0.1° are merged.

Most intense lines, 5 to 70 degrees two-theta, sorted by position:
Position (°2θ), I/Imax
35.9, 19
36.5, 35
41.9, 100
42.4, 98
42.4, 98
42.7, 76
57.3, 19
64.9, 34

Structure:
```
Na5B6C4
1.0
11.332 -1.416 0.000
11.332 1.416 0.000
-3.037 0.000 9.355
Na B C
10 12 8
Direct
0.000 0.000 0.000
0.099 0.099 0.699
0.200 0.200 0.400
0.301 0.301 0.099
0.399 0.399 0.801
0.500 0.500 0.500
0.601 0.601 0.199
0.699 0.699 0.901
0.800 0.800 0.600
0.901 0.901 0.301
0.084 0.084 0.419
0.111 0.111 0.972
0.182 0.182 0.116
0.278 0.278 0.804
0.319 0.319 0.388
0.487 0.487 0.223
0.513 0.513 0.777
0.681 0.681 0.612
0.722 0.722 0.196
0.818 0.818 0.884
0.889 0.889 0.028
0.916 0.916 0.581
0.018 0.018 0.287
0.213 0.213 0.676
0.385 0.385 0.517
0.421 0.421 0.091
0.579 0.579 0.909
0.615 0.615 0.483
0.787 0.787 0.324
0.982 0.982 0.713
```

# Dy2Ho5TmIn
Calculated powder XRD pattern, λ = 1.5418 Å (Cu Kα). Input: a cell relaxed with PBE.
Lines closer than 0.1° are merged.

Most intense lines, 5 to 70 degrees two-theta, sorted by position:
Position (°2θ), I/Imax
27.5, 11
27.9, 14
31.2, 30
32.8, 100
33.8, 31
34.6, 16
49.1, 12
59.9, 18

Structure:
```
Dy2Ho5TmIn
1.0
2.651 -10.071 0.000
2.651 10.071 0.000
0.000 0.000 10.379
Dy Ho Tm In
4 10 2 2
Direct
0.116 0.884 0.539
0.116 0.884 0.961
0.884 0.116 0.039
0.884 0.116 0.461
0.011 0.989 0.250
0.288 0.712 0.552
0.288 0.712 0.948
0.381 0.619 0.250
0.500 0.500 0.000
0.500 0.500 0.500
0.619 0.381 0.750
0.712 0.288 0.052
0.712 0.288 0.448
0.989 0.011 0.750
0.208 0.792 0.250
0.792 0.208 0.750
0.404 0.596 0.750
0.596 0.404 0.250
```